Entry 1:
Calculated X-ray diffraction stick pattern of Ce2Ho2Se7 for copper Kα, from a PBE-relaxed structure.

Cell and atoms:
Cell: 8.8397 8.8397 8.8397 Å, 153.12 68.49 118.34°
Sites, in units of the cell vectors:
Ce 0.2397 0.0000 0.2397
Ce 0.7603 0.0000 0.7603
Ho 0.3035 0.8035 0.5000
Ho 0.7605 0.7605 0.0000
Se 0.0156 0.6984 0.3171
Se 0.0796 0.0796 0.0000
Se 0.3741 0.4834 0.8907
Se 0.3813 0.6984 0.6829
Se 0.5927 0.4834 0.1093
Se 0.6688 0.3065 0.3622
Se 0.9443 0.3065 0.6378

Peak list (10 most intense, 2θ from 10° to 90°, sorted by position)
d/Å  two_theta  intensity
3.850  23.1  40.4
3.742  23.8  21.1
3.331  26.8  19.4
2.980  30.0  26.3
2.614  34.3  100.0
2.581  34.8  25.6
2.309  39.0  54.0
2.145  42.1  29.2
2.055  44.1  30.6
1.510  61.4  23.6


Entry 2:
Calculated X-ray diffraction stick pattern of KTi5O8 for copper Kα, from a PBE-relaxed structure.

Cell and atoms:
Cell: 7.7471 7.7471 7.6553 Å, 106.51 106.51 22.25°
Sites, in units of the cell vectors:
K 0.0000 0.0000 0.0000
Ti 0.1668 0.1668 0.4731
Ti 0.2049 0.2049 0.8373
Ti 0.5000 0.5000 0.5000
Ti 0.7951 0.7951 0.1627
Ti 0.8332 0.8332 0.5269
O 0.0796 0.0796 0.6430
O 0.2661 0.2661 0.3346
O 0.3296 0.3296 0.0191
O 0.4154 0.4154 0.6622
O 0.5846 0.5846 0.3378
O 0.6704 0.6704 0.9809
O 0.7339 0.7339 0.6654
O 0.9204 0.9204 0.3570

Peak list (10 most intense, 2θ from 10° to 90°, sorted by position)
d/Å  two_theta  intensity
7.308  12.1  100.0
6.126  14.5  27.5
3.715  24.0  34.3
3.664  24.3  35.0
2.546  35.2  34.5
2.527  35.5  39.4
2.298  39.2  43.1
1.913  47.5  45.1
1.642  56.0  30.1
1.468  63.4  33.5


Entry 3:
Calculated X-ray diffraction stick pattern of Ta7Ag for copper Kα, from a PBE-relaxed structure.

Cell and atoms:
Cell: 5.9307 5.9307 5.9307 Å, 60.00 60.00 60.00°
Sites, in units of the cell vectors:
Ta 0.0000 0.0000 0.0000
Ta 0.0000 0.0000 0.5000
Ta 0.0000 0.5000 0.0000
Ta 0.0000 0.5000 0.5000
Ta 0.5000 0.0000 0.0000
Ta 0.5000 0.0000 0.5000
Ta 0.5000 0.5000 0.0000
Ag 0.5000 0.5000 0.5000

Peak list (9 most intense, 2θ from 10° to 90°, sorted by position)
d/Å  two_theta  intensity
4.842  18.3  1.3
4.194  21.2  0.7
2.965  30.1  0.6
2.529  35.5  0.8
2.421  37.1  100.0
2.097  43.1  49.4
1.483  62.7  32.9
1.264  75.1  38.8
1.211  79.1  11.3


Entry 4:
Calculated X-ray diffraction stick pattern of Ti4Zn for copper Kα, from a PBE-relaxed structure.

Cell and atoms:
Cell: 7.5730 7.5730 7.5730 Å, 146.38 136.53 56.05°
Sites, in units of the cell vectors:
Ti 0.0000 0.0000 0.0000
Ti 0.1986 0.1986 0.0000
Ti 0.3014 0.8014 0.5000
Ti 0.3528 0.6028 0.7500
Ti 0.5000 0.0000 0.5000
Ti 0.6472 0.3972 0.2500
Ti 0.6986 0.1986 0.5000
Ti 0.8014 0.8014 0.0000
Zn 0.1415 0.3915 0.7500
Zn 0.8585 0.6085 0.2500

Peak list (10 most intense, 2θ from 10° to 90°, sorted by position)
d/Å  two_theta  intensity
2.326  38.7  92.9
2.282  39.5  100.0
2.190  41.2  44.8
2.148  42.1  39.9
2.087  43.4  14.6
1.745  52.4  15.3
1.534  60.4  25.1
1.281  74.0  13.3
1.257  75.6  12.6
1.195  80.4  20.9


Entry 5:
Calculated X-ray diffraction stick pattern of Ba2InSbAs for copper Kα, from a PBE-relaxed structure.

Cell and atoms:
Cell: 8.3921 4.6885 10.2679 Å, 90.00 110.44 90.00°
Sites, in units of the cell vectors:
Ba 0.1478 0.2500 0.3862
Ba 0.2495 0.2500 0.9822
Ba 0.7505 0.7500 0.0178
Ba 0.8522 0.7500 0.6138
In 0.4872 0.7500 0.3238
In 0.5128 0.2500 0.6762
Sb 0.3113 0.7500 0.7174
Sb 0.6887 0.2500 0.2826
As 0.1614 0.7500 0.1699
As 0.8386 0.2500 0.8301

Peak list (10 most intense, 2θ from 10° to 90°, sorted by position)
d/Å  two_theta  intensity
3.402  26.2  100.0
3.358  26.5  13.9
3.263  27.3  26.2
3.207  27.8  17.5
2.930  30.5  19.5
2.678  33.5  24.2
2.564  35.0  12.2
2.396  37.5  22.6
2.344  38.4  26.8
1.871  48.7  11.2